Structure and computed PXRD pattern of LaMg (DFT lattice parameters and positions (PBE); Cu Kα).

Unit cell a=5.6884 b=8.7364 c=8.7364 alpha=25.16 beta=90.00 gamma=90.00
Positions (direct):
La 0.0000 0.0000 0.0000
La 0.0000 0.3351 0.3351
La 0.5000 0.1836 0.1836
Mg 0.0000 0.6620 0.6620
Mg 0.5000 0.5148 0.5148
Mg 0.5000 0.8688 0.8688

Most intense lines, 2θ = 15–90°, in order of rising 2θ:
- 18.75 deg, intensity 40
- 23.96 deg, intensity 23
- 26.12 deg, intensity 19
- 31.46 deg, intensity 52
- 32.39 deg, intensity 100
- 35.32 deg, intensity 15
- 39.92 deg, intensity 12
- 45.10 deg, intensity 18
- 56.61 deg, intensity 35
- 58.35 deg, intensity 18

---

Structure and computed PXRD pattern of LaSiO3F (DFT lattice parameters and positions (PBE); Cu Kα).

Unit cell a=7.1291 b=7.1291 c=10.9906 alpha=90.00 beta=90.00 gamma=120.00
Positions (direct):
La 0.0000 0.6432 0.0000
La 0.0000 0.6432 0.5000
La 0.3568 0.3568 0.0000
La 0.3568 0.3568 0.5000
La 0.6432 0.0000 0.0000
La 0.6432 0.0000 0.5000
Si 0.0470 0.2722 0.2500
Si 0.2252 0.9530 0.2500
Si 0.2722 0.0470 0.7500
Si 0.7278 0.7748 0.2500
Si 0.7748 0.7278 0.7500
Si 0.9530 0.2252 0.7500
O 0.0418 0.8052 0.7500
O 0.0777 0.3966 0.1229
O 0.0777 0.3966 0.3771
O 0.1948 0.2366 0.7500
O 0.2366 0.1948 0.2500
O 0.3189 0.9223 0.1229
O 0.3189 0.9223 0.3771
O 0.3966 0.0777 0.6229
O 0.3966 0.0777 0.8771
O 0.6034 0.6811 0.1229
O 0.6034 0.6811 0.3771
O 0.6811 0.6034 0.6229
O 0.6811 0.6034 0.8771
O 0.7634 0.9582 0.7500
O 0.8052 0.0418 0.2500
O 0.9223 0.3189 0.6229
O 0.9223 0.3189 0.8771
O 0.9582 0.7634 0.2500
F 0.0000 0.0000 0.0000
F 0.0000 0.0000 0.5000
F 0.3333 0.6667 0.5734
F 0.3333 0.6667 0.9266
F 0.6667 0.3333 0.0734
F 0.6667 0.3333 0.4266

Most intense lines, 2θ = 15–90°, in order of rising 2θ:
- 16.13 deg, intensity 46
- 24.98 deg, intensity 55
- 29.88 deg, intensity 100
- 32.59 deg, intensity 18
- 41.50 deg, intensity 49
- 44.00 deg, intensity 27
- 47.16 deg, intensity 32
- 54.10 deg, intensity 17
- 55.81 deg, intensity 15
- 56.48 deg, intensity 19

---

Structure and computed PXRD pattern of CuSb2O6 (DFT lattice parameters and positions (PBE); Cu Kα).

Unit cell a=4.7304 b=4.7304 c=9.4071 alpha=90.00 beta=90.00 gamma=90.00
Positions (direct):
Cu 0.0000 0.0000 0.0000
Cu 0.5000 0.5000 0.5000
Sb 0.0000 0.0000 0.3323
Sb 0.0000 0.0000 0.6677
Sb 0.5000 0.5000 0.1677
Sb 0.5000 0.5000 0.8323
O 0.1906 0.1906 0.5000
O 0.1971 0.1971 0.1713
O 0.1971 0.1971 0.8287
O 0.3029 0.6971 0.3287
O 0.3029 0.6971 0.6713
O 0.3094 0.6906 0.0000
O 0.6906 0.3094 0.0000
O 0.6971 0.3029 0.3287
O 0.6971 0.3029 0.6713
O 0.8029 0.8029 0.1713
O 0.8029 0.8029 0.8287
O 0.8094 0.8094 0.5000

Most intense lines, 2θ = 15–90°, in order of rising 2θ:
- 21.02 deg, intensity 9
- 26.65 deg, intensity 100
- 34.31 deg, intensity 76
- 38.05 deg, intensity 21
- 52.16 deg, intensity 65
- 54.90 deg, intensity 16
- 62.04 deg, intensity 14
- 65.78 deg, intensity 14
- 66.36 deg, intensity 20
- 79.13 deg, intensity 12

---

Structure and computed PXRD pattern of La2Ge2O7 (DFT lattice parameters and positions (PBE); Cu Kα).

Unit cell a=6.9813 b=7.1388 c=7.1667 alpha=64.23 beta=87.73 gamma=88.74
Positions (direct):
La 0.0000 0.0000 0.0000
La 0.0646 0.5163 0.4829
La 0.3039 0.9903 0.4911
La 0.5756 0.4322 0.8455
Ge 0.1108 0.4769 0.9710
Ge 0.4640 0.8714 0.0398
Ge 0.5739 0.4303 0.3500
Ge 0.8078 0.0004 0.5008
O 0.0196 0.6122 0.1102
O 0.2508 0.6131 0.7330
O 0.2562 0.2538 0.1029
O 0.2952 0.9655 0.8457
O 0.3305 0.8030 0.2753
O 0.3550 0.3376 0.4835
O 0.5577 0.6126 0.0813
O 0.6285 0.8286 0.6519
O 0.6527 0.0475 0.9892
O 0.6704 0.2144 0.3056
O 0.7158 0.5010 0.5020
O 0.9255 0.3831 0.8638
O 0.9705 0.8930 0.3744
O 0.9747 0.1098 0.6081

Most intense lines, 2θ = 15–90°, in order of rising 2θ:
- 24.95 deg, intensity 50
- 27.65 deg, intensity 85
- 27.75 deg, intensity 100
- 28.69 deg, intensity 25
- 29.07 deg, intensity 75
- 29.20 deg, intensity 37
- 29.51 deg, intensity 40
- 30.03 deg, intensity 39
- 31.79 deg, intensity 38
- 45.36 deg, intensity 35

---

Structure and computed PXRD pattern of Ba3CrS5 (DFT lattice parameters and positions (PBE); Cu Kα).

Unit cell a=9.2942 b=9.2942 c=6.1664 alpha=90.00 beta=90.00 gamma=120.00
Positions (direct):
Ba 0.0000 0.3789 0.0000
Ba 0.0000 0.6211 0.5000
Ba 0.3789 0.0000 0.0000
Ba 0.3789 0.3789 0.5000
Ba 0.6211 0.0000 0.5000
Ba 0.6211 0.6211 0.0000
Cr 0.0000 0.0000 0.2652
Cr 0.0000 0.0000 0.7652
S 0.0000 0.2079 0.5150
S 0.0000 0.7921 0.0150
S 0.2079 0.0000 0.5150
S 0.2079 0.2079 0.0150
S 0.3333 0.6667 0.2501
S 0.3333 0.6667 0.7501
S 0.6667 0.3333 0.2501
S 0.6667 0.3333 0.7501
S 0.7921 0.0000 0.0150
S 0.7921 0.7921 0.5150

Most intense lines, 2θ = 15–90°, in order of rising 2θ:
- 22.09 deg, intensity 17
- 23.98 deg, intensity 100
- 28.96 deg, intensity 21
- 32.83 deg, intensity 58
- 33.40 deg, intensity 52
- 34.92 deg, intensity 54
- 41.53 deg, intensity 32
- 43.09 deg, intensity 17
- 48.42 deg, intensity 16
- 60.07 deg, intensity 17

---

Structure and computed PXRD pattern of Na2Ti2O5 (DFT lattice parameters and positions (PBE); Cu Kα).

Unit cell a=5.4971 b=12.1495 c=10.7695 alpha=90.00 beta=120.14 gamma=90.00
Positions (direct):
Na 0.0822 0.0287 0.3801
Na 0.0822 0.4713 0.8801
Na 0.4158 0.5038 0.6294
Na 0.4158 0.9962 0.1294
Na 0.5842 0.0038 0.8706
Na 0.5842 0.4962 0.3706
Na 0.9178 0.5287 0.1199
Na 0.9178 0.9713 0.6199
Ti 0.0174 0.1753 0.8269
Ti 0.0174 0.3247 0.3269
Ti 0.3692 0.6929 0.0579
Ti 0.3692 0.8071 0.5579
Ti 0.6308 0.1929 0.4421
Ti 0.6308 0.3071 0.9421
Ti 0.9826 0.6753 0.6731
Ti 0.9826 0.8247 0.1731
O 0.1008 0.6819 0.8662
O 0.1008 0.8181 0.3662
O 0.1584 0.0434 0.8805
O 0.1584 0.4566 0.3805
O 0.2753 0.2114 0.4214
O 0.2753 0.2886 0.9214
O 0.2867 0.6903 0.6429
O 0.2867 0.8097 0.1429
O 0.3580 0.5650 0.1300
O 0.3580 0.9350 0.6300
O 0.6420 0.0650 0.3700
O 0.6420 0.4350 0.8700
O 0.7133 0.1903 0.8571
O 0.7133 0.3097 0.3571
O 0.7247 0.7114 0.0786
O 0.7247 0.7886 0.5786
O 0.8416 0.5434 0.6195
O 0.8416 0.9566 0.1195
O 0.8992 0.1819 0.6338
O 0.8992 0.3181 0.1338

Most intense lines, 2θ = 15–90°, in order of rising 2θ:
- 17.43 deg, intensity 15
- 20.06 deg, intensity 15
- 20.42 deg, intensity 100
- 21.81 deg, intensity 52
- 23.93 deg, intensity 15
- 27.35 deg, intensity 20
- 32.58 deg, intensity 45
- 33.69 deg, intensity 19
- 38.65 deg, intensity 22
- 55.01 deg, intensity 12

---

Structure and computed PXRD pattern of SrB4Pt6 (DFT lattice parameters and positions (PBE); Cu Kα).

Unit cell a=6.1703 b=6.1703 c=5.3367 alpha=90.00 beta=90.00 gamma=120.00
Positions (direct):
Sr 0.0000 0.0000 0.0000
B 0.3333 0.6667 0.5672
B 0.3333 0.6667 0.9311
B 0.6667 0.3333 0.0689
B 0.6667 0.3333 0.4328
Pt 0.0315 0.5157 0.2507
Pt 0.4843 0.5157 0.2507
Pt 0.4843 0.9685 0.2507
Pt 0.5157 0.0315 0.7493
Pt 0.5157 0.4843 0.7493
Pt 0.9685 0.4843 0.7493

Most intense lines, 2θ = 15–90°, in order of rising 2θ:
- 16.59 deg, intensity 32
- 23.56 deg, intensity 8
- 33.55 deg, intensity 100
- 37.68 deg, intensity 19
- 44.90 deg, intensity 15
- 48.19 deg, intensity 52
- 57.20 deg, intensity 10
- 59.97 deg, intensity 14
- 70.51 deg, intensity 21
- 80.42 deg, intensity 27